[1]
Ac2Ag4Hg5: computed XRD peak list (Cu Kα (weighted mean of Kα1 and Kα2)), based on a GGA-PBE-relaxed structure.

Top 10 peaks for 2θ from 15° to 90°, in order of falling intensity:
- 34.98°, intensity 1000
- 37.07°, intensity 902
- 36.49°, intensity 817
- 29.82°, intensity 748
- 35.42°, intensity 456
- 32.57°, intensity 391
- 26.16°, intensity 326
- 25.21°, intensity 291
- 32.13°, intensity 272
- 51.76°, intensity 263

Structural model:
```
Ac2Ag4Hg5
1.0
-3.0046 4.7164 4.9260
3.0046 -4.7164 4.9260
3.0046 4.7164 -4.9260
Ac Ag Hg
2 4 5
Cartesian
0.0000 0.0000 2.1994
0.0000 0.0000 7.6526
3.0046 -1.5108 2.4305
3.0046 1.5108 2.4305
0.0000 3.2056 2.4955
0.0000 6.2272 2.4955
3.0046 0.0000 0.0000
1.5070 2.9580 0.0000
1.4976 -1.7584 4.9260
1.5070 6.4748 0.0000
1.4976 1.7584 4.9260
```

=====

[2]
Ba4Ti5PbO15: computed XRD peak list (Cu Kα (weighted mean of Kα1 and Kα2)), based on a GGA-PBE-relaxed structure.

Top 10 peaks for 2θ from 15° to 90°, in order of falling intensity:
- 31.45°, intensity 1000
- 56.00°, intensity 388
- 45.08°, intensity 333
- 38.77°, intensity 264
- 22.10°, intensity 237
- 65.65°, intensity 199
- 74.61°, intensity 168
- 50.75°, intensity 125
- 78.93°, intensity 90
- 70.19°, intensity 67

Structural model:
```
Ba4Ti5PbO15
1.0
4.0235 0.0000 0.0000
0.0000 4.0235 0.0000
0.0000 0.0000 20.1042
Ba Ti Pb O
4 5 1 15
Cartesian
0.0000 0.0000 2.0220
0.0000 0.0000 6.0689
0.0000 0.0000 14.0353
0.0000 0.0000 18.0822
2.0118 2.0118 0.0000
2.0118 2.0118 4.0446
2.0118 2.0118 8.0902
2.0118 2.0118 12.0141
2.0118 2.0118 16.0596
0.0000 0.0000 10.0521
0.0000 2.0118 0.0000
0.0000 2.0118 4.0446
0.0000 2.0118 8.0923
0.0000 2.0118 12.0119
0.0000 2.0118 16.0597
2.0118 0.0000 0.0000
2.0118 0.0000 4.0446
2.0118 0.0000 8.0923
2.0118 0.0000 12.0119
2.0118 0.0000 16.0597
2.0118 2.0118 2.0213
2.0118 2.0118 6.0627
2.0118 2.0118 10.0521
2.0118 2.0118 14.0416
2.0118 2.0118 18.0830
```

=====

[3]
HoZn6Pd12: computed XRD peak list (Cu Kα (weighted mean of Kα1 and Kα2)), based on a GGA-PBE-relaxed structure.

Top 10 peaks for 2θ from 15° to 90°, in order of falling intensity:
- 40.19°, intensity 1000
- 39.87°, intensity 640
- 40.57°, intensity 522
- 38.55°, intensity 465
- 46.86°, intensity 389
- 43.48°, intensity 345
- 42.25°, intensity 302
- 31.65°, intensity 237
- 36.31°, intensity 236
- 27.18°, intensity 222

Structural model:
```
HoZn6Pd12
1.0
5.3276 3.0759 3.2186
-5.3276 3.0759 3.2186
0.0000 -6.1518 3.2186
Ho Zn Pd
1 6 12
Cartesian
0.0000 0.0000 0.0000
-0.4035 -1.5490 2.6984
-1.1397 1.1239 2.6984
1.5432 0.4250 2.6984
-1.5432 -0.4250 6.9574
1.1397 -1.1239 6.9574
0.4035 1.5490 6.9574
-3.6374 0.8318 2.8924
-2.2619 -1.1620 4.4251
1.0984 -3.5660 2.8924
-2.5391 -2.7342 6.7634
-0.1246 -2.5399 5.2307
-2.1373 1.3779 5.2307
2.1373 -1.3779 4.4251
0.1246 2.5399 4.4251
2.5391 2.7342 2.8924
-1.0984 3.5660 6.7634
2.2619 1.1620 5.2307
3.6375 -0.8318 6.7634
```

=====

[4]
Pu3Tl2O10: computed XRD peak list (Cu Kα (weighted mean of Kα1 and Kα2)), based on a GGA-PBE-relaxed structure.

Top 10 peaks for 2θ from 15° to 90°, in order of falling intensity:
- 25.50°, intensity 1000
- 26.25°, intensity 772
- 25.15°, intensity 514
- 27.11°, intensity 502
- 48.20°, intensity 402
- 28.88°, intensity 230
- 50.94°, intensity 219
- 45.92°, intensity 206
- 38.13°, intensity 181
- 22.84°, intensity 169

Structural model:
```
Pu3Tl2O10
1.0
9.8669 -3.3894 0.0000
9.8669 3.3894 0.0000
-3.2927 0.0000 7.7874
Pu Tl O
6 4 20
Cartesian
9.8669 1.7038 0.0000
2.9637 0.0000 7.7047
6.5553 0.0000 4.1039
9.8857 0.0000 3.6835
13.4773 0.0000 0.0828
9.8669 -1.7038 0.0000
-0.3201 0.0000 5.7215
2.7691 0.0000 2.5542
13.6720 0.0000 5.2332
16.7611 0.0000 2.0660
4.9334 1.6947 0.0000
-0.1085 0.0000 1.2885
5.3411 1.4325 4.1532
4.6168 1.6640 7.6584
2.8804 0.0000 5.8833
8.2205 1.2658 3.8937
11.8243 1.6640 0.1291
6.3924 0.0000 1.8095
11.1000 1.4325 3.6342
6.6920 0.0000 6.4032
4.9334 -1.6947 0.0000
9.7491 0.0000 1.3842
5.3411 -1.4325 4.1532
10.0487 0.0000 5.9779
4.6168 -1.6640 7.6584
8.2205 -1.2658 3.8937
13.5606 0.0000 1.9041
11.8243 -1.6640 0.1291
11.1000 -1.4325 3.6342
16.5495 0.0000 6.4989
```

=====

[5]
Pu2Tc3B4: computed XRD peak list (Cu Kα (weighted mean of Kα1 and Kα2)), based on a GGA-PBE-relaxed structure.

Top 10 peaks for 2θ from 15° to 90°, in order of falling intensity:
- 40.94°, intensity 1000
- 41.80°, intensity 843
- 32.38°, intensity 597
- 33.54°, intensity 542
- 45.86°, intensity 485
- 37.88°, intensity 477
- 20.45°, intensity 456
- 38.96°, intensity 454
- 29.95°, intensity 435
- 34.61°, intensity 383

Structural model:
```
Pu2Tc3B4
1.0
6.2854 0.0000 0.0000
0.0000 6.3333 0.0000
-1.8782 0.0000 5.6817
Pu Tc B
4 6 8
Cartesian
1.0423 1.0490 0.4178
0.1032 2.1176 3.2586
4.3040 4.2157 2.4231
3.3649 5.2842 5.2639
1.0996 4.2591 1.4475
0.1605 5.2408 4.2883
2.2036 0.0000 2.8408
3.1427 3.1666 0.0000
4.2467 1.0925 1.3934
3.3077 2.0741 4.2342
-1.1578 3.4223 5.0851
-0.2187 6.0776 2.2443
1.9526 3.9027 3.5196
2.8916 5.5972 0.6787
1.5156 0.7361 5.0030
2.4547 2.4306 2.1621
4.6260 0.2556 3.4374
5.5650 2.9110 0.5965
```

=====

[6]
BaPdI2: computed XRD peak list (Cu Kα (weighted mean of Kα1 and Kα2)), based on a GGA-PBE-relaxed structure.

Top 6 peaks for 2θ from 15° to 90°, in order of falling intensity:
- 31.28°, intensity 1000
- 55.67°, intensity 381
- 44.82°, intensity 182
- 74.14°, intensity 163
- 65.25°, intensity 118
- 82.65°, intensity 41

Structural model:
```
BaPdI2
1.0
0.0000 4.0444 4.0444
4.0444 0.0000 4.0444
4.0444 4.0444 0.0000
Ba Pd I
1 1 2
Cartesian
0.0000 0.0000 0.0000
4.0444 4.0444 4.0444
2.0222 2.0222 2.0222
6.0665 6.0665 6.0665
```

=====

[7]
Hf3NbAs2: computed XRD peak list (Cu Kα (weighted mean of Kα1 and Kα2)), based on a GGA-PBE-relaxed structure.

Top 10 peaks for 2θ from 15° to 90°, in order of falling intensity:
- 37.39°, intensity 1000
- 31.43°, intensity 283
- 26.90°, intensity 241
- 44.47°, intensity 170
- 40.89°, intensity 167
- 59.93°, intensity 118
- 52.35°, intensity 116
- 53.25°, intensity 111
- 25.48°, intensity 101
- 55.46°, intensity 95

Structural model:
```
Hf3NbAs2
1.0
-2.8463 6.1134 3.4953
2.8463 -6.1134 3.4953
2.8463 6.1134 -3.4953
Hf Nb As
6 2 4
Cartesian
2.8463 -2.2215 1.7477
0.0000 0.0000 1.7477
2.8463 2.2215 1.7477
0.0000 3.8919 1.7477
0.0000 0.0000 5.2430
0.0000 8.3349 1.7477
2.8463 0.0000 0.0000
0.0000 6.1134 0.0000
0.7945 1.8935 0.0000
3.6408 4.2199 0.0000
-0.7945 1.8935 3.4953
2.0518 4.2199 3.4953
```

=====

[8]
Pm3TmSc3: computed XRD peak list (Cu Kα (weighted mean of Kα1 and Kα2)), based on a GGA-PBE-relaxed structure.

Top 10 peaks for 2θ from 15° to 90°, in order of falling intensity:
- 33.63°, intensity 1000
- 29.38°, intensity 273
- 32.34°, intensity 251
- 62.67°, intensity 210
- 58.50°, intensity 199
- 52.10°, intensity 185
- 44.25°, intensity 177
- 19.46°, intensity 160
- 63.45°, intensity 160
- 25.03°, intensity 132

Structural model:
```
Pm3TmSc3
1.0
9.2888 0.0000 0.0000
-4.6444 8.0443 0.0000
0.0000 0.0000 5.5366
Pm Tm Sc
6 2 6
Cartesian
-0.7026 2.0056 1.3842
-2.5562 7.6499 1.3842
1.3856 1.6112 4.1525
3.2587 6.4331 1.3842
7.2006 0.3944 4.1525
5.3469 6.0387 4.1525
0.0000 5.3629 1.3842
4.6444 2.6814 4.1525
-1.3517 3.8983 4.1525
-0.5925 7.2658 4.1525
2.7002 3.1198 1.3842
1.9442 4.9245 4.1525
5.2368 0.7785 1.3842
5.9961 4.1460 1.3842
```

=====

[9]
Mg2ZnPt2: computed XRD peak list (Cu Kα (weighted mean of Kα1 and Kα2)), based on a GGA-PBE-relaxed structure.

Top 10 peaks for 2θ from 15° to 90°, in order of falling intensity:
- 40.87°, intensity 1000
- 26.14°, intensity 943
- 37.30°, intensity 532
- 39.04°, intensity 297
- 74.64°, intensity 293
- 60.63°, intensity 253
- 59.28°, intensity 233
- 49.28°, intensity 175
- 35.16°, intensity 165
- 30.85°, intensity 164

Structural model:
```
Mg2ZnPt2
1.0
7.6238 0.0000 0.0000
0.0000 7.6238 0.0000
0.0000 0.0000 2.8982
Mg Zn Pt
4 2 4
Cartesian
1.0290 2.7829 0.0000
2.7829 6.5948 0.0000
4.8409 1.0290 0.0000
6.5948 4.8409 0.0000
0.0000 0.0000 0.0000
3.8119 3.8119 0.0000
1.2374 5.0493 1.4491
2.5745 1.2374 1.4491
5.0493 6.3864 1.4491
6.3864 2.5745 1.4491
```

=====

[10]
AlZn5Ga: computed XRD peak list (Cu Kα (weighted mean of Kα1 and Kα2)), based on a GGA-PBE-relaxed structure.

Top 10 peaks for 2θ from 15° to 90°, in order of falling intensity:
- 43.27°, intensity 1000
- 32.59°, intensity 581
- 41.80°, intensity 518
- 43.42°, intensity 425
- 33.68°, intensity 379
- 36.78°, intensity 311
- 37.62°, intensity 279
- 46.06°, intensity 274
- 42.71°, intensity 256
- 39.56°, intensity 229

Structural model:
```
AlZn5Ga
1.0
5.4224 -2.3909 0.0000
5.4224 2.3909 0.0000
-3.6395 0.0000 9.1130
Al Zn Ga
2 10 2
Cartesian
2.6928 1.2329 6.8347
4.5125 -1.2329 2.2782
-0.3367 0.0195 4.8325
1.4831 -0.0195 0.2760
-0.2638 0.0445 7.4604
4.5125 1.1662 2.2782
1.5560 -0.0445 2.9039
5.6494 0.0445 6.2091
2.6928 -1.1662 6.8347
7.4691 -0.0445 1.6526
5.7222 0.0195 8.8370
7.5420 -0.0195 4.2805
5.4224 0.0000 0.0000
3.6027 0.0000 4.5565
```